This entry pairs a crystal structure of Sm5ErTl2 with its computed PXRD pattern. Radiation: Cu Kα, 1.54184 Å. Structure: a structure optimized by DFT (PBE).
Kinematic intensities with the Lorentz-polarization factor, no thermal factor.

Crystal structure
a b c (Å): 5.4977 5.4977 20.3109
angles (deg): 90.00 90.00 120.00
Element x y z (fractional)
Sm: 0.0000 0.0000 0.1626
Sm: 0.0000 0.0000 0.3374
Sm: 0.0000 0.0000 0.6626
Sm: 0.0000 0.0000 0.8374
Sm: 0.3333 0.6667 0.0605
Sm: 0.3333 0.6667 0.2500
Sm: 0.3333 0.6667 0.4395
Sm: 0.6667 0.3333 0.5605
Sm: 0.6667 0.3333 0.7500
Sm: 0.6667 0.3333 0.9395
Er: 0.3333 0.6667 0.7500
Er: 0.6667 0.3333 0.2500
Tl: 0.3333 0.6667 0.5973
Tl: 0.3333 0.6667 0.9027
Tl: 0.6667 0.3333 0.0973
Tl: 0.6667 0.3333 0.4027

The 12 most intense peaks (10 to 90 degrees two-theta), by angle:
- 18.64°, rel. 10, hkl 1 0 0
- 20.60°, rel. 9, hkl 1 0 2
- 26.33°, rel. 10, hkl 0 0 6
- 32.45°, rel. 61, hkl 1 0 6
- 32.57°, rel. 100, hkl 1 1 0
- 36.26°, rel. 17, hkl 1 0 7
- 42.36°, rel. 18, hkl 1 1 6
- 46.64°, rel. 23, hkl 2 0 6
- 58.08°, rel. 43, hkl 3 0 0
- 64.67°, rel. 9, hkl 1 1 12
- 68.24°, rel. 12, hkl 2 2 0
- 77.61°, rel. 10, hkl 3 1 6